# CeHgTe2O8
Simulated powder XRD pattern, Cu Kα. Input: a structure optimized by DFT (PBE).
Neutral-atom scattering factors, no anomalous dispersion.

Crystal structure
```
data_CeHgTe2O8
_symmetry_space_group_name_H-M 'C 1 2/m 1'
_symmetry_Int_Tables_number 12
_symmetry_space_group_name_Hall '-C 2y'
_cell_length_a 11.9890
_cell_length_b 6.3346
_cell_length_c 5.4335
_cell_angle_alpha 90.00
_cell_angle_beta 112.80
_cell_angle_gamma 90.00
loop_
_atom_site_label
_atom_site_type_symbol
_atom_site_fract_x
_atom_site_fract_y
_atom_site_fract_z
Ce1 Ce 0.0000 0.0000 0.0000
Hg1 Hg 0.0000 0.5000 0.5000
Te1 Te 0.2168 0.5000 0.2024
O1 O 0.1113 0.0000 0.7561
O2 O 0.1217 0.2680 0.2485
O3 O 0.1690 0.5000 0.8263
```

Main lines, by intensity (2θ from 10° to 90°):
| hkl | d_spacing | 2θ (°) | I (rel.) |
| --- | --- | --- | --- |
| 1 1 1 | 3.391 | 26.28 | 100 |
| 3 1 -1 | 3.220 | 27.71 | 88 |
| 0 2 0 | 3.167 | 28.17 | 48 |
| 2 0 -2 | 2.710 | 33.06 | 29 |
| 6 0 -2 | 1.869 | 48.72 | 27 |
| 2 2 -2 | 2.059 | 43.97 | 27 |
| 4 2 0 | 2.082 | 43.46 | 24 |
| 3 3 -1 | 1.839 | 49.58 | 19 |
| 1 1 -3 | 1.691 | 54.26 | 16 |
| 1 1 0 | 5.505 | 16.10 | 16 |

***

# Ce3Pr5Sb8
Simulated powder XRD pattern, Cu Kα. Input: a structure optimized by DFT (PBE).
Neutral-atom scattering factors, no anomalous dispersion.

Crystal structure
```
data_Ce3Pr5Sb8
_symmetry_space_group_name_H-M 'R -3 m'
_symmetry_Int_Tables_number 166
_symmetry_space_group_name_Hall '-R 3 2"'
_cell_length_a 9.0684
_cell_length_b 9.0684
_cell_length_c 22.2266
_cell_angle_alpha 90.00
_cell_angle_beta 90.00
_cell_angle_gamma 120.00
loop_
_atom_site_label
_atom_site_type_symbol
_atom_site_fract_x
_atom_site_fract_y
_atom_site_fract_z
Ce1 Ce 0.0000 0.5000 0.0000
Pr1 Pr 0.0000 0.0000 0.0000
Pr2 Pr 0.0000 0.0000 0.5000
Pr3 Pr 0.0000 0.5000 0.5000
Sb1 Sb 0.0000 0.0000 0.2517
Sb2 Sb 0.0027 0.5013 0.2513
```

Main lines, by intensity (2θ from 10° to 90°):
| hkl | d_spacing | 2θ (°) | I (rel.) |
| --- | --- | --- | --- |
| 0 2 4 | 3.207 | 27.82 | 100 |
| 2 2 0 | 2.268 | 39.75 | 77 |
| 2 4 4 | 1.434 | 65.03 | 35 |
| 4 0 4 | 1.851 | 49.21 | 27 |
| 6 0 0 | 1.309 | 72.15 | 26 |
| 0 4 8 | 1.603 | 57.48 | 13 |
| 4 4 0 | 1.134 | 85.68 | 8 |
| 0 0 6 | 3.703 | 24.03 | 1 |
| 0 2 10 | 1.934 | 46.99 | 1 |